The following is a computed powder diffraction line list of LaNd8Y6. It was derived from a crystal structure in Alexandria, relaxed with PBE, using Cu Ka.
Intensities are scaled so that the largest is 100.

Crystal structure
```
data_LaNd8Y6
_chemical_formula_sum 'La3 Nd24 Y18'
_cell_length_a 9.2028
_cell_length_b 9.2028
_cell_length_c 21.1437
_cell_angle_alpha 90.00
_cell_angle_beta 90.00
_cell_angle_gamma 120.00
_space_group_name_H-M_alt 'R -3'
_space_group_IT_number 148
_space_group_name_Hall '-R 3'
loop_
_atom_site_label
_atom_site_type_symbol
_atom_site_fract_x
_atom_site_fract_y
_atom_site_fract_z
_atom_site_occupancy
La1 La 0.0000 0.0000 0.0000 1
Nd1 Nd 0.0000 0.0000 0.4225 1
Nd2 Nd 0.0798 0.5212 0.8063 1
Y1 Y 0.0423 0.8012 0.7062 1
```

Largest 6 diffraction maxima, in order of falling intensity, 2θ = 15–90°:
d [Å], two_theta, I (rel.), (hkl)
2.898, 30.85, 100, 2 0 5
2.824, 31.68, 31, 1 0 7
2.982, 29.96, 28, 2 1 1
2.486, 36.13, 14, 0 3 3
1.760, 51.96, 11, 0 3 9
2.617, 34.26, 10, 3 -1 4